(1)
Calculated XRD peak list
Compound: CeErTm2Sc4
Radiation: Cu Kα (weighted mean of Kα1 and Kα2)
Structure: a cell relaxed with GGA-PBE
Intensities are scaled so that the largest is 100.

Most intense lines, 2θ from 5° to 70°, low angle first:
- 19.30 deg, rel. 28
- 25.91 deg, rel. 28
- 32.52 deg, rel. 100
- 36.97 deg, rel. 35
- 39.18 deg, rel. 15
- 42.04 deg, rel. 16
- 47.58 deg, rel. 11
- 53.28 deg, rel. 12
- 54.97 deg, rel. 22
- 63.83 deg, rel. 28
- 66.83 deg, rel. 12
- 68.10 deg, rel. 11

Cell lengths 4.8627, 4.8627, 9.1966 Å; angles 90.00, 90.00, 90.00 degrees
Atoms (fractional coordinates):
Ce 0.0000 0.0000 0.0000
Er 0.5000 0.5000 0.5000
Tm 0.0000 0.0000 0.5000
Tm 0.5000 0.5000 0.0000
Sc 0.0000 0.5000 0.2476
Sc 0.0000 0.5000 0.7524
Sc 0.5000 0.0000 0.2476
Sc 0.5000 0.0000 0.7524



(2)
Calculated XRD peak list
Compound: Rb4GaBr7
Radiation: Cu Kα (weighted mean of Kα1 and Kα2)
Structure: a cell relaxed with GGA-PBE
Intensities are scaled so that the largest is 100.

Most intense lines, 2θ from 5° to 70°, low angle first:
- 12.64 deg, rel. 40
- 18.28 deg, rel. 43
- 25.41 deg, rel. 100
- 25.56 deg, rel. 40
- 27.65 deg, rel. 32
- 29.54 deg, rel. 72
- 30.30 deg, rel. 36
- 31.20 deg, rel. 40
- 31.47 deg, rel. 34
- 36.29 deg, rel. 29
- 39.34 deg, rel. 29
- 39.94 deg, rel. 30

Cell lengths 8.3631, 8.3631, 10.4908 Å; angles 110.49, 110.49, 49.58 degrees
Atoms (fractional coordinates):
Rb 0.1008 0.1008 0.2818
Rb 0.3476 0.3668 0.0176
Rb 0.6332 0.6524 0.9824
Rb 0.8992 0.8992 0.7182
Ga 0.4916 0.5084 0.5000
Br 0.1166 0.1391 0.9787
Br 0.1869 0.5392 0.3544
Br 0.4198 0.4290 0.7076
Br 0.4608 0.8131 0.6456
Br 0.5710 0.5802 0.2924
Br 0.8280 0.1720 0.5000
Br 0.8609 0.8834 0.0213



(3)
Calculated XRD peak list
Compound: RePb3N3
Radiation: Cu Kα (weighted mean of Kα1 and Kα2)
Structure: a cell relaxed with GGA-PBE
Intensities are scaled so that the largest is 100.

Most intense lines, 2θ from 5° to 70°, low angle first:
- 22.78 deg, rel. 100
- 23.73 deg, rel. 18
- 26.84 deg, rel. 40
- 28.88 deg, rel. 86
- 30.51 deg, rel. 55
- 31.24 deg, rel. 18
- 34.52 deg, rel. 35
- 37.09 deg, rel. 59
- 39.81 deg, rel. 37
- 43.06 deg, rel. 16
- 55.99 deg, rel. 22
- 57.51 deg, rel. 14

Cell lengths 6.8145, 6.1838, 8.0075 Å; angles 90.00, 102.83, 90.00 degrees
Atoms (fractional coordinates):
Re 0.1391 0.2500 0.2029
Re 0.8609 0.7500 0.7971
Pb 0.2351 0.2500 0.7338
Pb 0.2509 0.7500 0.1992
Pb 0.3499 0.7500 0.7129
Pb 0.6501 0.2500 0.2871
Pb 0.7491 0.2500 0.8008
Pb 0.7649 0.7500 0.2662
N 0.1301 0.7500 0.9043
N 0.2071 0.2500 0.4284
N 0.3448 0.2500 0.0912
N 0.6552 0.7500 0.9088
N 0.7929 0.7500 0.5716
N 0.8699 0.2500 0.0957



(4)
Calculated XRD peak list
Compound: Nd2Y5Tl
Radiation: Cu Kα (weighted mean of Kα1 and Kα2)
Structure: a cell relaxed with GGA-PBE
Intensities are scaled so that the largest is 100.

Most intense lines, 2θ from 5° to 70°, low angle first:
- 18.71 deg, rel. 21
- 27.86 deg, rel. 36
- 29.51 deg, rel. 36
- 30.51 deg, rel. 79
- 30.66 deg, rel. 30
- 31.06 deg, rel. 46
- 31.73 deg, rel. 67
- 32.05 deg, rel. 37
- 32.43 deg, rel. 100
- 33.38 deg, rel. 70
- 34.59 deg, rel. 30
- 40.42 deg, rel. 25

Cell lengths 6.9559, 9.2354, 9.7100 Å; angles 115.99, 95.33, 105.79 degrees
Atoms (fractional coordinates):
Nd 0.0000 0.0000 0.0000
Nd 0.0456 0.1714 0.7192
Nd 0.4253 0.8785 0.0330
Nd 0.6396 0.5844 0.9925
Y 0.1151 0.9310 0.3175
Y 0.1494 0.5112 0.1188
Y 0.2213 0.8014 0.5985
Y 0.4151 0.3156 0.3080
Y 0.5432 0.2064 0.6215
Y 0.6005 0.8571 0.3623
Y 0.6300 0.1918 0.9593
Y 0.6943 0.7724 0.6602
Y 0.8917 0.2551 0.3579
Y 0.9573 0.5577 0.7619
Tl 0.3336 0.4806 0.6500
Tl 0.8129 0.5767 0.3192



(5)
Calculated XRD peak list
Compound: Tb2SmDySe6
Radiation: Cu Kα (weighted mean of Kα1 and Kα2)
Structure: a cell relaxed with GGA-PBE
Intensities are scaled so that the largest is 100.

Most intense lines, 2θ from 5° to 70°, low angle first:
- 16.75 deg, rel. 42
- 23.03 deg, rel. 58
- 24.50 deg, rel. 40
- 28.11 deg, rel. 60
- 33.87 deg, rel. 39
- 37.05 deg, rel. 100
- 42.25 deg, rel. 35
- 43.12 deg, rel. 64
- 48.78 deg, rel. 31
- 58.12 deg, rel. 26
- 61.36 deg, rel. 14
- 67.65 deg, rel. 12

Cell lengths 7.7533, 7.7533, 7.7533 Å; angles 55.90, 55.90, 55.90 degrees
Atoms (fractional coordinates):
Tb 0.0000 0.0000 0.0000
Tb 0.4982 0.4982 0.4982
Sm 0.1979 0.1979 0.1979
Dy 0.6954 0.6954 0.6954
Se 0.0960 0.4033 0.7909
Se 0.2926 0.8940 0.6051
Se 0.4033 0.7909 0.0960
Se 0.6051 0.2926 0.8940
Se 0.7909 0.0960 0.4033
Se 0.8940 0.6051 0.2926



(6)
Calculated XRD peak list
Compound: HoErNiRu
Radiation: Cu Kα (weighted mean of Kα1 and Kα2)
Structure: a cell relaxed with GGA-PBE
Intensities are scaled so that the largest is 100.

Most intense lines, 2θ from 5° to 70°, low angle first:
- 22.87 deg, rel. 1
- 26.47 deg, rel. 13
- 37.78 deg, rel. 100
- 44.62 deg, rel. 1
- 46.72 deg, rel. 4
- 54.50 deg, rel. 17
- 61.58 deg, rel. 5
- 68.22 deg, rel. 35

Cell lengths 4.7624, 4.7624, 4.7624 Å; angles 60.00, 60.00, 60.00 degrees
Atoms (fractional coordinates):
Ho 0.0000 0.0000 0.0000
Er 0.5000 0.5000 0.5000
Ni 0.7500 0.7500 0.7500
Ru 0.2500 0.2500 0.2500